Starting from DFT lattice parameters and positions (GGA-PBE), the PXRD pattern of Th3As4 was simulated for λ = 1.5418 Å (Cu Kα).
Neutral-atom scattering factors, no anomalous dispersion.

Peak list (6 most intense, 15° ≤ 2θ ≤ 90°, by intensity)
2θ (°)  I (rel.)  h k l
31.79  1000  3 1 0
37.82  693  3 2 1
24.50  655  2 1 1
64.54  376  6 1 1
45.58  359  4 2 0
79.06  252  5 5 2

Crystal structure
```
data_Th3As4
_chemical_formula_sum 'Th12 As16'
_cell_length_a 8.901
_cell_length_b 8.901
_cell_length_c 8.901
_cell_angle_alpha 90.00
_cell_angle_beta 90.00
_cell_angle_gamma 90.00
_space_group_name_H-M_alt 'I -4 3 d'
_space_group_IT_number 220
_space_group_name_Hall 'I -4bd 2c 3'
loop_
_atom_site_label
_atom_site_type_symbol
_atom_site_fract_x
_atom_site_fract_y
_atom_site_fract_z
Th1 Th 0.000 0.250 0.375
As1 As 0.079 0.079 0.079
```